[1]
For Ba2V2CuClO8, a structure optimized by DFT (PBE+U) gives the simulated powder diffraction line list in this record (Cu Kα (λ = 1.5418 Å)).

Atomic structure:
```
Ba2V2CuClO8
1.0
15.210 0.000 0.000
0.000 6.163 0.000
0.000 0.000 9.696
Ba V Cu Cl O
8 8 4 4 32
Direct
0.037 0.250 0.138
0.246 0.750 0.954
0.254 0.250 0.454
0.463 0.750 0.638
0.537 0.250 0.362
0.746 0.750 0.546
0.754 0.250 0.046
0.963 0.750 0.862
0.130 0.250 0.787
0.134 0.750 0.286
0.366 0.250 0.786
0.370 0.750 0.287
0.630 0.250 0.713
0.634 0.750 0.214
0.866 0.250 0.714
0.870 0.750 0.213
0.000 0.000 0.500
0.000 0.500 0.500
0.500 0.000 0.000
0.500 0.500 0.000
0.244 0.250 0.116
0.256 0.750 0.616
0.744 0.250 0.384
0.756 0.750 0.884
0.034 0.750 0.586
0.082 0.250 0.628
0.089 0.750 0.126
0.101 0.024 0.880
0.101 0.476 0.880
0.102 0.512 0.369
0.102 0.988 0.369
0.249 0.250 0.754
0.251 0.750 0.254
0.398 0.012 0.869
0.398 0.488 0.869
0.399 0.524 0.380
0.399 0.976 0.380
0.411 0.250 0.626
0.418 0.750 0.128
0.466 0.250 0.086
0.534 0.750 0.914
0.582 0.250 0.872
0.589 0.750 0.374
0.601 0.024 0.620
0.601 0.476 0.620
0.602 0.512 0.131
0.602 0.988 0.131
0.749 0.250 0.746
0.751 0.750 0.246
0.898 0.012 0.631
0.898 0.488 0.631
0.899 0.524 0.120
0.899 0.976 0.120
0.911 0.250 0.874
0.918 0.750 0.372
0.966 0.250 0.414
```

Peak list (10 most intense, 2θ from 10° to 90°, low angle first)
2θ/deg, I (rel.), (hkl)
24.08, 39, 1 1 2
24.52, 73, 3 1 1
28.97, 55, 0 2 0
29.09, 100, 4 1 1
29.86, 57, 4 0 2
31.01, 33, 1 2 1
31.26, 79, 0 1 3
31.81, 45, 1 1 3
36.51, 32, 2 2 2
38.93, 40, 3 2 2

---

[2]
For Ba2Mn2ClF7, a structure optimized by DFT (PBE+U) gives the simulated powder diffraction line list in this record (Cu Kα (λ = 1.5418 Å)).

Atomic structure:
```
Ba2Mn2ClF7
1.0
7.993 0.000 0.000
0.000 6.008 0.000
-2.669 0.000 8.803
Ba Mn Cl F
4 4 2 14
Direct
0.159 0.250 0.411
0.190 0.250 0.925
0.810 0.750 0.075
0.841 0.750 0.589
0.317 0.750 0.175
0.326 0.750 0.734
0.674 0.250 0.266
0.683 0.250 0.825
0.385 0.750 0.470
0.615 0.250 0.530
0.125 0.000 0.161
0.125 0.500 0.161
0.133 0.004 0.652
0.133 0.496 0.652
0.240 0.750 0.932
0.494 0.002 0.167
0.494 0.498 0.167
0.506 0.502 0.833
0.506 0.998 0.833
0.760 0.250 0.068
0.867 0.504 0.348
0.867 0.996 0.348
0.875 0.000 0.839
0.875 0.500 0.839
```

Peak list (10 most intense, 2θ from 10° to 90°, low angle first)
2θ/deg, I (rel.), (hkl)
23.26, 19, 2 0 0
25.07, 100, 0 1 2
26.09, 26, 2 0 -2
27.65, 69, 2 1 0
29.74, 25, 0 2 0
38.09, 19, 2 2 0
38.38, 25, 3 1 -2
39.17, 26, 1 0 -4
39.97, 40, 1 2 2
49.99, 29, 1 2 -4

---

[3]
For Ba2MnNiClF7, a structure optimized by DFT (PBE+U) gives the simulated powder diffraction line list in this record (Cu Kα (λ = 1.5418 Å)).

Atomic structure:
```
Ba2MnNiClF7
1.0
7.845 0.000 0.000
0.000 5.918 0.000
-2.513 0.000 8.714
Ba Mn Ni Cl F
4 2 2 2 14
Direct
0.166 0.250 0.412
0.191 0.250 0.926
0.809 0.750 0.074
0.834 0.750 0.588
0.331 0.750 0.734
0.669 0.250 0.266
0.315 0.750 0.171
0.685 0.250 0.829
0.384 0.750 0.459
0.616 0.250 0.541
0.132 0.508 0.161
0.132 0.992 0.161
0.134 0.002 0.653
0.134 0.498 0.653
0.239 0.750 0.937
0.492 0.506 0.166
0.492 0.994 0.166
0.508 0.006 0.834
0.508 0.494 0.834
0.761 0.250 0.063
0.866 0.502 0.347
0.866 0.998 0.347
0.868 0.008 0.839
0.868 0.492 0.839
```

Peak list (10 most intense, 2θ from 10° to 90°, low angle first)
2θ/deg, I (rel.), (hkl)
23.61, 34, 2 0 0
25.39, 79, 0 1 2
25.50, 74, 1 1 -2
28.07, 100, 2 1 0
30.21, 39, 0 2 0
38.72, 50, 2 2 0
39.76, 38, 1 0 -4
40.71, 30, 2 2 -2
50.76, 31, 1 2 -4
50.86, 31, 4 1 0